Entry 1:
For Mg9Si5, a structure optimized by DFT (GGA-PBE) gives the simulated XRD peak list in this record (copper Kα).
Neutral-atom scattering factors, no anomalous dispersion.

Peak list (10 most intense, 10 to 90 degrees two-theta, low angle first)
two_theta	Rel. int.	h k l
32.9	56	2 1 3
33.0	89	1 2 3
33.2	43	-1 1 3
33.5	100	1 2 -3
36.0	81	2 0 3
36.4	43	2 0 -3
43.1	91	3 0 0
43.4	50	3 3 0
44.0	44	2 3 3
44.9	90	0 0 6

Crystal structure
abc: 7.2398 7.2403 12.1271
angles: 89.20 89.00 60.44
Space group P1 (No. 1)
Unique sites:
Mg 0.0000 0.0000 0.0000 [1 per cell]
Mg 0.0036 0.5747 0.3633 [1 per cell]
Mg 0.0240 0.5803 0.0394 [1 per cell]
Mg 0.0490 0.5689 0.6982 [1 per cell]
Mg 0.2500 0.7319 0.5350 [1 per cell]
Mg 0.2517 0.7302 0.1964 [1 per cell]
Mg 0.3096 0.0642 0.7054 [1 per cell]
Mg 0.3324 0.6898 0.8545 [1 per cell]
Mg 0.3780 0.9927 0.3626 [1 per cell]
Mg 0.5574 0.3563 0.0363 [1 per cell]
Mg 0.5670 0.3217 0.6985 [1 per cell]
Mg 0.5784 0.3674 0.3631 [1 per cell]
Mg 0.6947 0.9261 0.8586 [1 per cell]
Mg 0.7286 0.9622 0.5366 [1 per cell]
Mg 0.7331 0.9732 0.1923 [1 per cell]
Mg 0.8773 0.3745 0.8599 [1 per cell]
Mg 0.9679 0.2433 0.5321 [1 per cell]
Mg 0.9774 0.2426 0.1998 [1 per cell]
Si 0.3015 0.3137 0.8721 [1 per cell]
Si 0.3121 0.1079 0.0371 [1 per cell]
Si 0.3152 0.3140 0.5299 [1 per cell]
Si 0.3205 0.3087 0.2055 [1 per cell]
Si 0.5883 0.7233 0.0194 [1 per cell]
Si 0.6380 0.6602 0.6983 [1 per cell]
Si 0.6515 0.6423 0.4976 [1 per cell]
Si 0.6577 0.6451 0.2144 [1 per cell]
Si 0.9789 0.9815 0.7170 [1 per cell]
Si 0.9833 0.9794 0.3653 [1 per cell]

Entry 2:
For HoTm2Al3, a structure optimized by DFT (GGA-PBE) gives the simulated XRD peak list in this record (copper Kα).
Neutral-atom scattering factors, no anomalous dispersion.

Peak list (10 most intense, 10 to 90 degrees two-theta, low angle first)
two_theta	Rel. int.	h k l
25.0	64	1 0 0
35.7	100	1 1 0
44.1	19	1 1 3
51.4	12	2 0 0
57.8	9	1 0 6
58.0	17	2 1 0
64.0	12	1 1 6
64.1	24	2 1 3
75.5	8	2 0 6
86.6	11	3 1 0

Crystal structure
abc: 3.5556 3.5556 10.7084
angles: 90.00 90.00 90.00
Space group P4/mmm (No. 123)
Unique sites:
Ho 0.0000 0.0000 0.0000 [1 per cell]
Tm 0.0000 0.0000 0.3347 [2 per cell]
Al 0.5000 0.5000 0.1699 [2 per cell]
Al 0.5000 0.5000 0.5000 [1 per cell]

Entry 3:
For Na2UPaS5, a structure optimized by DFT (GGA-PBE) gives the simulated XRD peak list in this record (copper Kα).
Neutral-atom scattering factors, no anomalous dispersion.

Peak list (10 most intense, 10 to 90 degrees two-theta, low angle first)
two_theta	Rel. int.	h k l
16.8	56	0 0 2
17.7	100	1 0 0
24.5	76	1 0 2
25.1	67	1 1 0
35.7	41	2 0 0
38.5	30	1 0 4
39.7	27	2 0 2
42.7	32	1 1 4
43.8	35	2 1 2
50.1	31	2 0 4

Crystal structure
abc: 5.0244 5.0244 10.5580
angles: 90.00 90.00 90.00
Space group P4/mmm (No. 123)
Unique sites:
Na 0.0000 0.0000 0.2300 [2 per cell]
U 0.5000 0.5000 0.5000 [1 per cell]
Pa 0.5000 0.5000 0.0000 [1 per cell]
S 0.0000 0.0000 0.5000 [1 per cell]
S 0.0000 0.5000 0.0000 [2 per cell]
S 0.5000 0.5000 0.2519 [2 per cell]

Entry 4:
For Tb3PmSi2, a structure optimized by DFT (GGA-PBE) gives the simulated XRD peak list in this record (copper Kα).
Neutral-atom scattering factors, no anomalous dispersion.

Peak list (10 most intense, 10 to 90 degrees two-theta, low angle first)
two_theta	Rel. int.	h k l
26.7	38	3 1 0
29.5	22	3 1 -2
30.8	36	4 0 -3
31.5	31	6 0 -1
31.7	100	1 1 2
33.3	57	5 1 -1
35.3	22	5 1 0
36.5	28	1 1 -3
37.1	24	4 0 2
41.6	36	0 2 0

Crystal structure
abc: 17.1176 4.3412 9.2215
angles: 90.00 113.74 90.00
Space group C2/m (No. 12)
Unique sites:
Tb 0.0472 0.0000 0.1974 [4 per cell]
Tb 0.1524 0.5000 0.9786 [4 per cell]
Tb 0.1909 0.5000 0.3847 [4 per cell]
Pm 0.1155 0.0000 0.6334 [4 per cell]
Si 0.0104 0.5000 0.3752 [4 per cell]
Si 0.2360 0.0000 0.2131 [4 per cell]

Entry 5:
For Pu3TlO8, a structure optimized by DFT (GGA-PBE) gives the simulated XRD peak list in this record (copper Kα).
Neutral-atom scattering factors, no anomalous dispersion.

Peak list (10 most intense, 10 to 90 degrees two-theta, low angle first)
two_theta	Rel. int.	h k l
12.9	83	0 0 3
15.5	100	1 0 1
26.0	35	0 0 6
26.3	25	0 1 5
29.0	40	1 1 3
30.3	22	0 2 1
31.3	56	2 0 2
34.8	66	0 2 4
46.7	24	2 0 8
60.2	23	2 2 6

Crystal structure
abc: 6.8800 6.8800 20.5500
angles: 90.00 90.00 120.00
Space group R-3m (No. 166, hexagonal axes)
Unique sites:
Pu 0.0000 0.5000 0.0000 [9 per cell]
Tl 0.0000 0.0000 0.5000 [3 per cell]
O 0.0000 0.0000 0.2822 [6 per cell]
O 0.0511 0.5256 0.2842 [18 per cell]

Entry 6:
For HfMgHg, a structure optimized by DFT (GGA-PBE) gives the simulated XRD peak list in this record (copper Kα).
Neutral-atom scattering factors, no anomalous dispersion.

Peak list (10 most intense, 10 to 90 degrees two-theta, low angle first)
two_theta	Rel. int.	h k l
16.9	8	0 0 2
26.9	8	1 0 1
30.8	19	1 0 2
36.4	100	1 1 0
52.4	17	2 0 0
57.7	6	1 1 5
62.0	5	2 1 2
65.4	35	2 1 3
77.2	11	2 2 0
88.5	11	3 1 0

Crystal structure
abc: 3.4953 3.4953 10.4678
angles: 90.00 90.00 90.00
Space group P4/nmm (No. 129, origin choice 2)
Unique sites:
Hf 0.2500 0.2500 0.0893 [2 per cell]
Mg 0.2500 0.2500 0.4110 [2 per cell]
Hg 0.2500 0.2500 0.7362 [2 per cell]